Starting from DFT lattice parameters and positions (GGA-PBE), the powder diffractogram of K3Er2RuO6 was computed for Cu Kα X-rays.
Kinematic intensities with the Lorentz-polarization factor, no thermal factor.

Cell and atoms:
```
data_K3Er2RuO6
_chemical_formula_sum 'K6 Er4 Ru2 O12'
_cell_length_a 5.786
_cell_length_b 10.013
_cell_length_c 6.486
_cell_angle_alpha 90.00
_cell_angle_beta 107.18
_cell_angle_gamma 90.00
_space_group_name_H-M_alt 'C 1 2/m 1'
_space_group_IT_number 12
_space_group_name_Hall '-C 2y'
loop_
_atom_site_label
_atom_site_type_symbol
_atom_site_fract_x
_atom_site_fract_y
_atom_site_fract_z
K1 K 0.000 0.000 0.000
K2 K 0.000 0.338 0.000
Er1 Er 0.000 0.167 0.500
Ru1 Ru 0.000 0.500 0.500
O1 O 0.222 0.339 0.685
O2 O 0.240 0.000 0.684
```

Largest 8 diffraction maxima, by intensity, 2θ from 10° to 80°:
two_theta	d [Å]	I_rel
36.60	2.455	100
14.29	6.197	98
32.42	2.761	71
28.82	3.098	37
50.38	1.811	34
31.30	2.858	33
55.00	1.670	30
46.42	1.956	19



Starting from DFT lattice parameters and positions (GGA-PBE), the powder diffractogram of KErSO was computed for Cu Kα X-rays.
Kinematic intensities with the Lorentz-polarization factor, no thermal factor.

Cell and atoms:
```
data_KErSO
_chemical_formula_sum 'K2 Er2 S2 O2'
_cell_length_a 6.375
_cell_length_b 3.681
_cell_length_c 7.427
_cell_angle_alpha 90.00
_cell_angle_beta 106.53
_cell_angle_gamma 90.00
_space_group_name_H-M_alt 'C 1 m 1'
_space_group_IT_number 8
_space_group_name_Hall 'C -2y'
loop_
_atom_site_label
_atom_site_type_symbol
_atom_site_fract_x
_atom_site_fract_y
_atom_site_fract_z
K1 K 0.000 0.000 0.000
Er1 Er 0.343 0.500 0.532
S1 S 0.432 0.000 0.297
O1 O 0.222 0.000 0.668
```

Largest 8 diffraction maxima, by intensity, 2θ from 10° to 80°:
two_theta	d [Å]	I_rel
12.43	7.120	100
35.12	2.555	67
29.24	3.055	64
28.31	3.153	51
40.94	2.204	40
49.53	1.840	31
25.01	3.560	29
51.29	1.781	24



Starting from DFT lattice parameters and positions (GGA-PBE), the powder diffractogram of KErS2O8 was computed for Cu Kα X-rays.
Kinematic intensities with the Lorentz-polarization factor, no thermal factor.

Cell and atoms:
```
data_KErS2O8
_chemical_formula_sum 'K4 Er4 S8 O32'
_cell_length_a 5.496
_cell_length_b 13.492
_cell_length_c 10.185
_cell_angle_alpha 90.00
_cell_angle_beta 119.28
_cell_angle_gamma 90.00
_space_group_name_H-M_alt 'P 1 21/c 1'
_space_group_IT_number 14
_space_group_name_Hall '-P 2ybc'
loop_
_atom_site_label
_atom_site_type_symbol
_atom_site_fract_x
_atom_site_fract_y
_atom_site_fract_z
K1 K 0.090 0.088 0.345
Er1 Er 0.409 0.651 0.687
S1 S 0.140 0.663 0.887
S2 S 0.323 0.117 0.080
O1 O 0.019 0.101 0.979
O2 O 0.084 0.733 0.764
O3 O 0.115 0.103 0.648
O4 O 0.243 0.709 0.036
O5 O 0.360 0.593 0.892
O6 O 0.364 0.211 0.163
O7 O 0.438 0.033 0.188
O8 O 0.467 0.122 0.989
```

Largest 8 diffraction maxima, by intensity, 2θ from 10° to 80°:
two_theta	d [Å]	I_rel
16.50	5.372	100
25.93	3.437	54
26.42	3.373	47
32.10	2.788	41
27.37	3.259	41
19.50	4.552	37
29.71	3.007	36
32.64	2.743	36



Starting from DFT lattice parameters and positions (GGA-PBE), the powder diffractogram of K2ErSeO6 was computed for Cu Kα X-rays.
Kinematic intensities with the Lorentz-polarization factor, no thermal factor.

Cell and atoms:
```
data_K2ErSeO6
_chemical_formula_sum 'K2 Er1 Se1 O6'
_cell_length_a 6.2618
_cell_length_b 6.2618
_cell_length_c 5.6692
_cell_angle_alpha 90.00
_cell_angle_beta 90.00
_cell_angle_gamma 120.00
_space_group_name_H-M_alt 'P -3 m 1'
_space_group_IT_number 164
_space_group_name_Hall '-P 3 2"'
loop_
_atom_site_label
_atom_site_type_symbol
_atom_site_fract_x
_atom_site_fract_y
_atom_site_fract_z
K1 K 0.3333 0.6667 0.1001
Er1 Er 0.0000 0.0000 0.5000
Se1 Se 0.0000 0.0000 0.0000
O1 O 0.1354 0.2708 0.8056
```

Largest 8 diffraction maxima, by intensity, 2θ from 10° to 80°:
two_theta	d [Å]	I_rel
16.35	5.423	100
28.51	3.131	40
43.05	2.101	23
35.74	2.512	21
46.34	1.959	18
22.69	3.919	17
55.31	1.661	17
36.74	2.446	13